PmAu6: simulated X-ray diffraction stick pattern (λ = 1.5418 Å (Cu Kα)), based on the PBE geometry in Alexandria.
Intensities are scaled so that the largest is 100.

Most intense lines, 2θ = 10–90°, in order of rising 2θ:
h k l	Position (°2θ)	intensity
0 2 0	31.22	39
1 0 4	33.67	92
3 1 1	34.60	100
2 1 3	34.98	68
2 2 0	37.17	43
2 2 1	38.06	68
3 0 3	38.49	44
2 2 2	40.66	40
4 0 1	40.77	70
1 2 3	41.02	85
2 1 4	41.21	51
1 0 5	41.74	39

Cell and atoms:
a = 9.033 Å, b = 5.730 Å, c = 11.143 Å
α = 90.00°, β = 90.00°, γ = 90.00°
Space group Pnma (No. 62)
Inequivalent atoms, fractional coordinates:
Pm  0.237  0.250  0.067 (multiplicity 4)
Au  0.056  0.009  0.306 (multiplicity 8)
Au  0.069  0.750  0.079 (multiplicity 4)
Au  0.112  0.250  0.522 (multiplicity 4)
Au  0.157  0.750  0.842 (multiplicity 4)
Au  0.188  0.250  0.778 (multiplicity 4)